This entry pairs a crystal structure of CsNpCl6 with its theoretical PXRD pattern. Radiation: Cu Kα X-rays. Structure: DFT lattice parameters and positions (GGA-PBE).
Kinematic intensities with the Lorentz-polarization factor, no thermal factor.

Crystal structure
Lattice parameters (Å, degrees): 7.697 7.697 7.697 55.02 55.02 55.02
Fractional coordinates of all 8 atoms:
Cs  0.000  0.000  0.000
Np  0.500  0.500  0.500
Cl  0.093  0.591  0.591
Cl  0.409  0.409  0.907
Cl  0.409  0.907  0.409
Cl  0.591  0.093  0.591
Cl  0.591  0.591  0.093
Cl  0.907  0.409  0.409

Peak list (8 most intense, 2θ from 15° to 90°, in order of rising 2θ)
2theta, Rel. int.
15.1, 33
17.0, 100
23.2, 75
25.0, 30
30.4, 46
37.5, 48
39.8, 24
43.1, 30


This entry pairs a crystal structure of CsCd8 with its theoretical PXRD pattern. Radiation: Cu Kα X-rays. Structure: DFT lattice parameters and positions (GGA-PBE).
Kinematic intensities with the Lorentz-polarization factor, no thermal factor.

Crystal structure
Lattice parameters (Å, degrees): 10.065 10.065 3.257 90.00 90.00 120.00
Fractional coordinates of all 9 atoms:
Cs  0.000  0.000  0.000
Cd  0.176  0.352  0.500
Cd  0.176  0.824  0.500
Cd  0.333  0.667  0.500
Cd  0.352  0.176  0.500
Cd  0.648  0.824  0.500
Cd  0.667  0.333  0.500
Cd  0.824  0.176  0.500
Cd  0.824  0.648  0.500

Peak list (8 most intense, 2θ from 15° to 90°, in order of rising 2θ)
2theta, Rel. int.
20.4, 42
27.4, 40
34.4, 73
35.7, 100
45.6, 55
50.4, 22
63.3, 21
68.7, 28


This entry pairs a crystal structure of Dy2YCo2B2P3 with its theoretical PXRD pattern. Radiation: Cu Kα X-rays. Structure: DFT lattice parameters and positions (GGA-PBE).
Kinematic intensities with the Lorentz-polarization factor, no thermal factor.

Crystal structure
Lattice parameters (Å, degrees): 11.268 11.268 11.268 160.23 160.23 28.10
Fractional coordinates of all 10 atoms:
Dy  0.138  0.138  0.000
Dy  0.862  0.862  0.000
Y  0.500  0.500  0.000
Co  0.250  0.750  0.500
Co  0.750  0.250  0.500
B  0.285  0.285  0.000
B  0.715  0.715  0.000
P  0.000  0.000  0.000
P  0.375  0.375  0.000
P  0.625  0.625  0.000

Peak list (8 most intense, 2θ from 15° to 90°, in order of rising 2θ)
2theta, Rel. int.
26.1, 88
32.8, 100
36.7, 60
41.3, 56
47.0, 69
54.5, 25
58.5, 36
78.2, 24


This entry pairs a crystal structure of Hf3TaSi2 with its theoretical PXRD pattern. Radiation: Cu Kα X-rays. Structure: DFT lattice parameters and positions (GGA-PBE).
Kinematic intensities with the Lorentz-polarization factor, no thermal factor.

Crystal structure
Lattice parameters (Å, degrees): 6.448 5.281 5.205 75.90 52.59 51.52
Fractional coordinates of all 6 atoms:
Hf  0.000  0.000  0.000
Hf  0.497  0.816  0.184
Hf  0.816  0.497  0.503
Ta  0.314  0.314  0.686
Si  0.405  0.405  0.095
Si  0.905  0.905  0.595

Peak list (8 most intense, 2θ from 15° to 90°, in order of rising 2θ)
2theta, Rel. int.
34.7, 39
35.4, 100
35.9, 99
44.2, 19
44.9, 21
61.7, 20
62.6, 19
62.9, 20


This entry pairs a crystal structure of Hf4CuAsC2 with its theoretical PXRD pattern. Radiation: Cu Kα X-rays. Structure: DFT lattice parameters and positions (GGA-PBE).
Kinematic intensities with the Lorentz-polarization factor, no thermal factor.

Crystal structure
Lattice parameters (Å, degrees): 3.352 3.352 12.915 90.00 90.00 120.00
Fractional coordinates of all 8 atoms:
Hf  0.000  0.000  0.150
Hf  0.000  0.000  0.850
Hf  0.667  0.333  0.345
Hf  0.667  0.333  0.655
Cu  0.000  0.000  0.500
As  0.667  0.333  0.000
C  0.333  0.667  0.245
C  0.333  0.667  0.755

Peak list (8 most intense, 2θ from 15° to 90°, in order of rising 2θ)
2theta, Rel. int.
30.8, 27
31.6, 15
37.4, 100
42.0, 13
53.0, 11
54.8, 25
68.2, 17
71.3, 17


This entry pairs a crystal structure of GdTmAg2Sn2 with its theoretical PXRD pattern. Radiation: Cu Kα X-rays. Structure: DFT lattice parameters and positions (GGA-PBE).
Kinematic intensities with the Lorentz-polarization factor, no thermal factor.

Crystal structure
Lattice parameters (Å, degrees): 4.730 4.730 7.316 90.00 90.00 120.00
Fractional coordinates of all 6 atoms:
Gd  0.000  0.000  0.000
Tm  0.000  0.000  0.501
Ag  0.333  0.667  0.195
Ag  0.667  0.333  0.686
Sn  0.333  0.667  0.776
Sn  0.667  0.333  0.282

Peak list (8 most intense, 2θ from 15° to 90°, in order of rising 2θ)
2theta, Rel. int.
32.8, 100
38.0, 78
43.2, 16
51.1, 29
64.4, 15
65.5, 27
68.8, 16
81.4, 12


This entry pairs a crystal structure of BaSrCdAsP with its theoretical PXRD pattern. Radiation: Cu Kα X-rays. Structure: DFT lattice parameters and positions (GGA-PBE).
Kinematic intensities with the Lorentz-polarization factor, no thermal factor.

Crystal structure
Lattice parameters (Å, degrees): 8.933 8.933 7.690 90.00 90.00 150.89
Fractional coordinates of all 10 atoms:
Ba  0.207  0.793  0.500
Ba  0.793  0.207  0.000
Sr  0.034  0.966  0.155
Sr  0.966  0.034  0.655
Cd  0.406  0.594  0.316
Cd  0.594  0.406  0.816
As  0.439  0.561  0.949
As  0.561  0.439  0.449
P  0.167  0.833  0.906
P  0.833  0.167  0.406

Peak list (8 most intense, 2θ from 15° to 90°, in order of rising 2θ)
2theta, Rel. int.
23.5, 63
27.7, 100
31.1, 72
32.7, 97
33.2, 36
34.4, 62
36.6, 41
40.2, 50


This entry pairs a crystal structure of Sr5Pr2Pb3N2 with its theoretical PXRD pattern. Radiation: Cu Kα X-rays. Structure: DFT lattice parameters and positions (GGA-PBE).
Kinematic intensities with the Lorentz-polarization factor, no thermal factor.

Crystal structure
Lattice parameters (Å, degrees): 13.373 13.373 5.088 90.00 90.00 157.34
Fractional coordinates of all 12 atoms:
Sr  0.000  0.000  0.000
Sr  0.200  0.800  0.000
Sr  0.400  0.600  0.000
Sr  0.600  0.400  0.000
Sr  0.800  0.200  0.000
Pr  0.099  0.901  0.500
Pr  0.901  0.099  0.500
Pb  0.308  0.692  0.500
Pb  0.500  0.500  0.500
Pb  0.692  0.308  0.500
N  0.101  0.899  0.000
N  0.899  0.101  0.000

Peak list (8 most intense, 2θ from 15° to 90°, in order of rising 2θ)
2theta, Rel. int.
29.8, 100
34.2, 37
35.3, 18
49.1, 13
49.9, 25
58.4, 15
60.0, 14
61.9, 13


This entry pairs a crystal structure of TbNd2Cd3InGa2 with its theoretical PXRD pattern. Radiation: Cu Kα X-rays. Structure: DFT lattice parameters and positions (GGA-PBE).
Kinematic intensities with the Lorentz-polarization factor, no thermal factor.

Crystal structure
Lattice parameters (Å, degrees): 4.578 7.440 7.440 119.72 90.00 90.00
Fractional coordinates of all 9 atoms:
Tb  0.000  0.000  0.000
Nd  0.000  0.128  0.563
Nd  0.000  0.563  0.128
Cd  0.500  0.310  0.310
Cd  0.500  0.564  0.818
Cd  0.500  0.818  0.564
In  0.000  0.569  0.569
Ga  0.500  0.228  0.899
Ga  0.500  0.899  0.228

Peak list (8 most intense, 2θ from 15° to 90°, in order of rising 2θ)
2theta, Rel. int.
31.0, 64
34.0, 100
36.8, 13
36.9, 23
39.4, 28
55.0, 20
66.2, 18
66.5, 15


This entry pairs a crystal structure of NbSb2 with its theoretical PXRD pattern. Radiation: Cu Kα X-rays. Structure: DFT lattice parameters and positions (GGA-PBE).
Kinematic intensities with the Lorentz-polarization factor, no thermal factor.

Crystal structure
Lattice parameters (Å, degrees): 10.746 9.860 5.845 82.07 65.34 32.59
Fractional coordinates of all 12 atoms:
Nb  0.003  0.003  0.747
Nb  0.253  0.253  0.997
Nb  0.747  0.747  0.003
Nb  0.997  0.997  0.253
Sb  0.036  0.714  0.036
Sb  0.286  0.964  0.286
Sb  0.298  0.298  0.452
Sb  0.452  0.452  0.298
Sb  0.548  0.548  0.702
Sb  0.702  0.702  0.548
Sb  0.714  0.036  0.714
Sb  0.964  0.286  0.964

Peak list (8 most intense, 2θ from 15° to 90°, in order of rising 2θ)
2theta, Rel. int.
31.0, 68
33.2, 76
33.4, 55
33.8, 88
36.4, 46
38.0, 100
40.1, 59
41.2, 88


This entry pairs a crystal structure of Pr3InBr2Cl with its theoretical PXRD pattern. Radiation: Cu Kα X-rays. Structure: DFT lattice parameters and positions (GGA-PBE).
Kinematic intensities with the Lorentz-polarization factor, no thermal factor.

Crystal structure
Lattice parameters (Å, degrees): 6.106 6.106 6.173 90.00 90.00 90.00
Fractional coordinates of all 7 atoms:
Pr  0.000  0.000  0.000
Pr  0.000  0.500  0.500
Pr  0.500  0.000  0.500
In  0.000  0.000  0.500
Br  0.000  0.500  0.000
Br  0.500  0.000  0.000
Cl  0.500  0.500  0.500

Peak list (8 most intense, 2θ from 15° to 90°, in order of rising 2θ)
2theta, Rel. int.
28.9, 51
29.3, 100
32.8, 18
41.6, 76
41.8, 37
51.7, 40
68.1, 17
76.3, 25


This entry pairs a crystal structure of Zr2NiPd with its theoretical PXRD pattern. Radiation: Cu Kα X-rays. Structure: DFT lattice parameters and positions (GGA-PBE).
Kinematic intensities with the Lorentz-polarization factor, no thermal factor.

Crystal structure
Lattice parameters (Å, degrees): 4.207 5.396 5.396 36.53 90.00 90.00
Fractional coordinates of all 4 atoms:
Zr  0.000  0.000  0.000
Zr  0.500  0.285  0.285
Ni  0.500  0.551  0.551
Pd  0.000  0.723  0.723

Peak list (8 most intense, 2θ from 15° to 90°, in order of rising 2θ)
2theta, Rel. int.
35.0, 31
35.2, 100
37.4, 21
41.3, 29
43.0, 32
43.4, 64
54.3, 16
58.3, 16